Record 1
SmZn12: computed powder X-ray diffraction pattern (Cu Kα, 1.54184 Å), based on a structure optimized by DFT (PBE).
Lines closer than 0.1° are merged.

Peak list (8 most intense, 2θ from 10° to 80°, in order of falling intensity)
2θ (°), d/Å, Rel. int., hkl
40.26, 2.240, 100, 4 0 0
40.10, 2.249, 47, 2 0 2
34.65, 2.589, 30, 3 0 1
73.15, 1.294, 27, 6 0 2
45.12, 2.010, 24, 2 2 2
45.27, 2.003, 19, 4 2 0
28.13, 3.172, 15, 2 1 1
65.68, 1.422, 14, 3 2 3

Cell and atoms:
```
data_SmZn12
_chemical_formula_sum 'Sm2 Zn24'
_symmetry_space_group_name_H-M 'I 4/m m m'
_symmetry_Int_Tables_number 139
_symmetry_space_group_name_Hall '-I 4 2'
_cell_length_a 8.954
_cell_length_b 8.954
_cell_length_c 5.202
_cell_angle_alpha 90.00
_cell_angle_beta 90.00
_cell_angle_gamma 90.00
loop_
_atom_site_label
_atom_site_fract_x
_atom_site_fract_y
_atom_site_fract_z
Sm1 0.000 0.000 0.000
Zn1 0.000 0.218 0.500
Zn2 0.000 0.355 0.000
Zn3 0.250 0.250 0.250
```



Record 2
SmZn3: computed powder X-ray diffraction pattern (Cu Kα, 1.54184 Å), based on a structure optimized by DFT (PBE).
Lines closer than 0.1° are merged.

Peak list (8 most intense, 2θ from 10° to 80°, in order of falling intensity)
2θ (°), d/Å, Rel. int., hkl
35.61, 2.521, 100, 1 1 3
34.45, 2.603, 83, 2 1 1
40.21, 2.243, 43, 0 2 0
42.77, 2.114, 23, 2 1 3
37.54, 2.396, 22, 1 0 4
44.07, 2.055, 19, 3 0 2
54.35, 1.688, 16, 0 2 4
35.00, 2.564, 15, 0 0 4

Cell and atoms:
```
data_SmZn3
_chemical_formula_sum 'Sm4 Zn12'
_symmetry_space_group_name_H-M 'P n m a'
_symmetry_Int_Tables_number 62
_symmetry_space_group_name_Hall '-P 2ac 2n'
_cell_length_a 6.728
_cell_length_b 4.485
_cell_length_c 10.256
_cell_angle_alpha 90.00
_cell_angle_beta 90.00
_cell_angle_gamma 90.00
loop_
_atom_site_label
_atom_site_fract_x
_atom_site_fract_y
_atom_site_fract_z
Sm1 0.221 0.250 0.162
Zn1 0.036 0.750 0.396
Zn2 0.083 0.250 0.852
Zn3 0.217 0.750 0.957
```



Record 3
Sm3Zn11: computed powder X-ray diffraction pattern (Cu Kα, 1.54184 Å), based on a structure optimized by DFT (PBE).
Lines closer than 0.1° are merged.

Peak list (8 most intense, 2θ from 10° to 80°, in order of falling intensity)
2θ (°), d/Å, Rel. int., hkl
35.09, 2.557, 100, 1 2 3
40.62, 2.221, 45, 2 0 0
36.18, 2.483, 34, 1 3 0
36.41, 2.467, 26, 0 3 3
35.54, 2.526, 25, 1 1 4
38.80, 2.321, 24, 1 3 2
33.93, 2.642, 23, 0 2 4
41.45, 2.178, 21, 0 0 6

Cell and atoms:
```
data_Sm3Zn11
_chemical_formula_sum 'Sm6 Zn22'
_symmetry_space_group_name_H-M 'I m m m'
_symmetry_Int_Tables_number 71
_symmetry_space_group_name_Hall '-I 2 2'
_cell_length_a 4.442
_cell_length_b 8.981
_cell_length_c 13.071
_cell_angle_alpha 90.00
_cell_angle_beta 90.00
_cell_angle_gamma 90.00
loop_
_atom_site_label
_atom_site_fract_x
_atom_site_fract_y
_atom_site_fract_z
Sm1 0.000 0.000 0.000
Sm2 0.000 0.000 0.300
Zn1 0.000 0.192 0.500
Zn2 0.000 0.278 0.138
Zn3 0.000 0.361 0.339
Zn4 0.000 0.500 0.000
```



Record 4
SmZn: computed powder X-ray diffraction pattern (Cu Kα, 1.54184 Å), based on a structure optimized by DFT (PBE).
Lines closer than 0.1° are merged.

Peak list (8 most intense, 2θ from 10° to 80°, in order of falling intensity)
2θ (°), d/Å, Rel. int., hkl
34.88, 2.572, 100, 1 1 0
62.54, 1.485, 36, 2 1 1
50.15, 1.819, 18, 2 0 0
24.47, 3.638, 15, 1 0 0
73.65, 1.286, 11, 2 2 0
56.57, 1.627, 7, 2 1 0
43.07, 2.100, 5, 1 1 1
78.95, 1.213, 3, 3 0 0

Cell and atoms:
```
data_SmZn
_chemical_formula_sum 'Sm1 Zn1'
_symmetry_space_group_name_H-M 'P m -3 m'
_symmetry_Int_Tables_number 221
_symmetry_space_group_name_Hall '-P 4 2 3'
_cell_length_a 3.638
_cell_length_b 3.638
_cell_length_c 3.638
_cell_angle_alpha 90.00
_cell_angle_beta 90.00
_cell_angle_gamma 90.00
loop_
_atom_site_label
_atom_site_fract_x
_atom_site_fract_y
_atom_site_fract_z
Sm1 0.000 0.000 0.000
Zn1 0.500 0.500 0.500
```



Record 5
Sm3Zr: computed powder X-ray diffraction pattern (Cu Kα, 1.54184 Å), based on a structure optimized by DFT (PBE).
Lines closer than 0.1° are merged.

Peak list (8 most intense, 2θ from 10° to 80°, in order of falling intensity)
2θ (°), d/Å, Rel. int., hkl
31.25, 2.862, 100, 1 1 2
36.15, 2.484, 34, 2 0 0
61.98, 1.497, 28, 3 1 2
52.26, 1.751, 23, 2 0 4
36.42, 2.467, 17, 0 0 4
62.34, 1.490, 14, 1 1 6
65.19, 1.431, 12, 2 2 4
52.06, 1.757, 12, 2 2 0

Cell and atoms:
```
data_Sm3Zr
_chemical_formula_sum 'Sm6 Zr2'
_symmetry_space_group_name_H-M 'I 4/m m m'
_symmetry_Int_Tables_number 139
_symmetry_space_group_name_Hall '-I 4 2'
_cell_length_a 4.969
_cell_length_b 4.969
_cell_length_c 9.868
_cell_angle_alpha 90.00
_cell_angle_beta 90.00
_cell_angle_gamma 90.00
loop_
_atom_site_label
_atom_site_fract_x
_atom_site_fract_y
_atom_site_fract_z
Sm1 0.000 0.000 0.000
Sm2 0.000 0.500 0.250
Zr1 0.000 0.000 0.500
```



Record 6
SrSn: computed powder X-ray diffraction pattern (Cu Kα, 1.54184 Å), based on a structure optimized by DFT (PBE).
Lines closer than 0.1° are merged.

Peak list (8 most intense, 2θ from 10° to 80°, in order of falling intensity)
2θ (°), d/Å, Rel. int., hkl
34.42, 2.606, 100, 1 3 1
27.32, 3.265, 100, 1 1 1
35.24, 2.547, 36, 2 0 0
35.40, 2.536, 30, 0 4 1
62.71, 1.481, 29, 3 3 1
39.74, 2.268, 26, 0 0 2
29.20, 3.058, 25, 0 4 0
50.81, 1.797, 22, 2 4 1

Cell and atoms:
```
data_SrSn
_chemical_formula_sum 'Sr4 Sn4'
_symmetry_space_group_name_H-M 'C m c m'
_symmetry_Int_Tables_number 63
_symmetry_space_group_name_Hall '-C 2c 2'
_cell_length_a 5.093
_cell_length_b 12.232
_cell_length_c 4.537
_cell_angle_alpha 90.00
_cell_angle_beta 90.00
_cell_angle_gamma 90.00
loop_
_atom_site_label
_atom_site_fract_x
_atom_site_fract_y
_atom_site_fract_z
Sr1 0.000 0.136 0.250
Sn1 0.000 0.420 0.250
```



Record 7
Sr2Sn: computed powder X-ray diffraction pattern (Cu Kα, 1.54184 Å), based on a structure optimized by DFT (PBE).
Lines closer than 0.1° are merged.

Peak list (8 most intense, 2θ from 10° to 80°, in order of falling intensity)
2θ (°), d/Å, Rel. int., hkl
28.27, 3.157, 100, 2 1 1
31.10, 2.876, 68, 0 1 3
33.00, 2.714, 65, 0 2 0
26.26, 3.394, 46, 1 1 2
37.92, 2.373, 24, 2 1 3
26.85, 3.320, 22, 2 1 0
27.55, 3.238, 21, 2 0 2
36.65, 2.452, 21, 3 0 2

Cell and atoms:
```
data_Sr2Sn
_chemical_formula_sum 'Sr8 Sn4'
_symmetry_space_group_name_H-M 'P n m a'
_symmetry_Int_Tables_number 62
_symmetry_space_group_name_Hall '-P 2ac 2n'
_cell_length_a 8.397
_cell_length_b 5.426
_cell_length_c 10.174
_cell_angle_alpha 90.00
_cell_angle_beta 90.00
_cell_angle_gamma 90.00
loop_
_atom_site_label
_atom_site_fract_x
_atom_site_fract_y
_atom_site_fract_z
Sr1 0.020 0.250 0.182
Sr2 0.158 0.250 0.574
Sn1 0.249 0.250 0.894
```



Record 8
SrZnSn: computed powder X-ray diffraction pattern (Cu Kα, 1.54184 Å), based on a structure optimized by DFT (PBE).
Lines closer than 0.1° are merged.

Peak list (8 most intense, 2θ from 10° to 80°, in order of falling intensity)
2θ (°), d/Å, Rel. int., hkl
29.54, 3.024, 100, 1 0 2
38.55, 2.335, 57, 1 1 0
56.44, 1.630, 37, 1 1 4
49.30, 1.848, 24, 2 0 2
64.27, 1.449, 22, 2 1 2
39.57, 2.277, 18, 0 0 4
19.49, 4.555, 14, 0 0 2
43.55, 2.078, 11, 1 1 2

Cell and atoms:
```
data_SrZnSn
_chemical_formula_sum 'Sr2 Zn2 Sn2'
_symmetry_space_group_name_H-M 'P 63/m m c'
_symmetry_Int_Tables_number 194
_symmetry_space_group_name_Hall '-P 6c 2c'
_cell_length_a 4.6705
_cell_length_b 4.6705
_cell_length_c 9.1097
_cell_angle_alpha 90.00
_cell_angle_beta 90.00
_cell_angle_gamma 120.00
loop_
_atom_site_label
_atom_site_fract_x
_atom_site_fract_y
_atom_site_fract_z
Sr1 0.0000 0.0000 0.0000
Zn1 0.3333 0.6667 0.2500
Sn1 0.3333 0.6667 0.7500
```



Record 9
SrZn2Sn2: computed powder X-ray diffraction pattern (Cu Kα, 1.54184 Å), based on a structure optimized by DFT (PBE).
Lines closer than 0.1° are merged.

Peak list (8 most intense, 2θ from 10° to 80°, in order of falling intensity)
2θ (°), d/Å, Rel. int., hkl
31.13, 2.873, 100, 1 1 -2
31.35, 2.853, 71, 1 1 2
38.64, 2.330, 58, 0 2 0
38.52, 2.337, 56, 2 0 0
41.82, 2.160, 42, 1 1 4
30.17, 2.963, 40, 0 1 3
55.70, 1.650, 39, 2 2 0
41.46, 2.178, 35, 1 1 -4

Cell and atoms:
```
data_SrZn2Sn2
_chemical_formula_sum 'Sr2 Zn4 Sn4'
_symmetry_space_group_name_H-M 'P 1 21/m 1'
_symmetry_Int_Tables_number 11
_symmetry_space_group_name_Hall '-P 2yb'
_cell_length_a 4.675
_cell_length_b 4.661
_cell_length_c 11.514
_cell_angle_alpha 90.00
_cell_angle_beta 90.66
_cell_angle_gamma 90.00
loop_
_atom_site_label
_atom_site_fract_x
_atom_site_fract_y
_atom_site_fract_z
Sr1 0.242 0.250 0.245
Zn1 0.230 0.750 0.001
Zn2 0.244 0.250 0.639
Sn1 0.257 0.750 0.500
Sn2 0.274 0.250 0.869
```



Record 10
Ta2Sn3: computed powder X-ray diffraction pattern (Cu Kα, 1.54184 Å), based on a structure optimized by DFT (PBE).
Lines closer than 0.1° are merged.

Peak list (8 most intense, 2θ from 10° to 80°, in order of falling intensity)
2θ (°), d/Å, Rel. int., hkl
41.75, 2.163, 100, 2 2 4
19.95, 4.451, 79, 0 0 4
36.29, 2.475, 69, 2 2 0
41.64, 2.169, 55, 0 4 4
36.16, 2.484, 31, 0 4 0
34.77, 2.580, 28, 1 3 3
39.84, 2.262, 27, 1 1 7
30.11, 2.968, 25, 0 0 6

Cell and atoms:
```
data_Ta2Sn3
_chemical_formula_sum 'Ta16 Sn24'
_symmetry_space_group_name_H-M 'F 2 2 2'
_symmetry_Int_Tables_number 22
_symmetry_space_group_name_Hall 'F 2 2'
_cell_length_a 5.710
_cell_length_b 9.936
_cell_length_c 17.805
_cell_angle_alpha 90.00
_cell_angle_beta 90.00
_cell_angle_gamma 90.00
loop_
_atom_site_label
_atom_site_fract_x
_atom_site_fract_y
_atom_site_fract_z
Ta1 0.000 0.000 0.122
Ta2 0.250 0.250 0.108
Sn1 0.000 0.000 0.419
Sn2 0.250 0.090 0.250
Sn3 0.250 0.250 0.626
```



Record 11
Ta3Sn: computed powder X-ray diffraction pattern (Cu Kα, 1.54184 Å), based on a structure optimized by DFT (PBE).
Lines closer than 0.1° are merged.

Peak list (8 most intense, 2θ from 10° to 80°, in order of falling intensity)
2θ (°), d/Å, Rel. int., hkl
37.77, 2.382, 100, 2 1 0
41.54, 2.174, 55, 2 1 1
65.59, 1.423, 29, 3 2 1
33.66, 2.663, 24, 2 0 0
62.93, 1.477, 23, 3 2 0
70.77, 1.331, 14, 4 0 0
60.20, 1.537, 12, 2 2 2
23.63, 3.766, 4, 1 1 0

Cell and atoms:
```
data_Ta3Sn
_chemical_formula_sum 'Ta6 Sn2'
_symmetry_space_group_name_H-M 'P m -3 n'
_symmetry_Int_Tables_number 223
_symmetry_space_group_name_Hall '-P 4n 2 3'
_cell_length_a 5.325
_cell_length_b 5.325
_cell_length_c 5.325
_cell_angle_alpha 90.00
_cell_angle_beta 90.00
_cell_angle_gamma 90.00
loop_
_atom_site_label
_atom_site_fract_x
_atom_site_fract_y
_atom_site_fract_z
Ta1 0.000 0.250 0.500
Sn1 0.000 0.000 0.000
```



Record 12
Tb5Sn3: computed powder X-ray diffraction pattern (Cu Kα, 1.54184 Å), based on a structure optimized by DFT (PBE).
Lines closer than 0.1° are merged.

Peak list (8 most intense, 2θ from 10° to 80°, in order of falling intensity)
2θ (°), d/Å, Rel. int., hkl
33.25, 2.694, 100, 2 1 1
33.62, 2.666, 79, 1 1 2
34.46, 2.602, 40, 3 0 0
30.29, 2.951, 33, 2 1 0
51.78, 1.766, 29, 2 1 3
29.34, 3.044, 21, 1 0 2
48.92, 1.862, 20, 2 2 2
66.19, 1.412, 17, 5 0 2

Cell and atoms:
```
data_Tb5Sn3
_chemical_formula_sum 'Tb10 Sn6'
_symmetry_space_group_name_H-M 'P 63/m c m'
_symmetry_Int_Tables_number 193
_symmetry_space_group_name_Hall '-P 6c 2'
_cell_length_a 9.0146
_cell_length_b 9.0146
_cell_length_c 6.6109
_cell_angle_alpha 90.00
_cell_angle_beta 90.00
_cell_angle_gamma 120.00
loop_
_atom_site_label
_atom_site_fract_x
_atom_site_fract_y
_atom_site_fract_z
Tb1 0.0000 0.2411 0.2500
Tb2 0.3333 0.6667 0.0000
Sn1 0.0000 0.3938 0.7500
```